# 1
This entry pairs a crystal structure of KSi2Br with its simulated X-ray powder pattern. Radiation: Cu Ka. Structure: a cell relaxed with GGA-PBE.

Most intense lines, 2θ from 10° to 90°, in order of falling intensity:
| 2θ/deg | d [Å] | I (rel.) | index |
| --- | --- | --- | --- |
| 28.30 | 3.154 | 100 | 1 0 1 |
| 34.34 | 2.612 | 45 | 0 1 2 |
| 45.87 | 1.978 | 35 | 1 1 0 |
| 26.00 | 3.427 | 31 | 1 0 0 |
| 42.74 | 2.116 | 30 | 0 1 3 |
| 57.86 | 1.594 | 22 | 1 1 3 |
| 10.96 | 8.069 | 20 | 0 0 1 |
| 33.31 | 2.690 | 19 | 0 0 3 |

Cell and atoms:
a = 3.9566 Å, b = 3.9566 Å, c = 8.0695 Å
α = 90.00°, β = 90.00°, γ = 120.00°
Space group P3m1 (No. 156)
Inequivalent atoms, fractional coordinates:
K 0.0000 0.0000 0.0000 x1
Si 0.3333 0.6667 0.6722 x1
Si 0.6667 0.3333 0.5839 x1
Br 0.6667 0.3333 0.2723 x1

=====

# 2
This entry pairs a crystal structure of KSiBr4 with its simulated X-ray powder pattern. Radiation: Cu Ka. Structure: a cell relaxed with GGA-PBE.

Most intense lines, 2θ from 10° to 90°, in order of falling intensity:
| 2θ/deg | d [Å] | I (rel.) | index |
| --- | --- | --- | --- |
| 26.98 | 3.304 | 100 | 2 1 1 |
| 16.31 | 5.434 | 26 | 1 0 1 |
| 29.15 | 3.063 | 22 | 1 1 2 |
| 34.06 | 2.632 | 18 | 1 3 0 |
| 42.60 | 2.122 | 18 | 1 3 2 |
| 24.82 | 3.587 | 16 | 0 0 2 |
| 50.37 | 1.811 | 14 | 3 0 3 |
| 46.74 | 1.943 | 14 | 4 1 1 |

Cell and atoms:
a = 8.3236 Å, b = 8.3236 Å, c = 7.1747 Å
α = 90.00°, β = 90.00°, γ = 90.00°
Space group I-4 (No. 82)
Inequivalent atoms, fractional coordinates:
K 0.0000 0.0000 0.0000 x2
Si 0.0000 0.5000 0.7500 x2
Br 0.1454 0.3080 0.5641 x8

=====

# 3
This entry pairs a crystal structure of K2Sn2Br7 with its simulated X-ray powder pattern. Radiation: Cu Ka. Structure: a cell relaxed with GGA-PBE.

Most intense lines, 2θ from 10° to 90°, in order of falling intensity:
| 2θ/deg | d [Å] | I (rel.) | index |
| --- | --- | --- | --- |
| 16.90 | 5.246 | 100 | 0 2 1 |
| 31.33 | 2.855 | 98 | 1 3 2 |
| 16.11 | 5.503 | 79 | 1 1 1 |
| 29.61 | 3.017 | 60 | 3 1 -1 |
| 12.99 | 6.813 | 53 | 0 2 0 |
| 15.01 | 5.902 | 44 | 1 1 -1 |
| 28.36 | 3.146 | 31 | 0 4 1 |
| 39.36 | 2.289 | 27 | 3 3 -2 |

Cell and atoms:
a = 9.7097 Å, b = 13.6262 Å, c = 8.2519 Å
α = 90.00°, β = 94.92°, γ = 90.00°
Space group C2/m (No. 12)
Inequivalent atoms, fractional coordinates:
K 0.0000 0.1809 0.0000 x4
Sn 0.2349 0.0000 0.6225 x4
Br 0.0000 0.5000 0.5000 x2
Br 0.0458 0.0000 0.2841 x4
Br 0.2142 0.3443 0.1808 x8

=====

# 4
This entry pairs a crystal structure of KSn2Br4 with its simulated X-ray powder pattern. Radiation: Cu Ka. Structure: a cell relaxed with GGA-PBE.

Most intense lines, 2θ from 10° to 90°, in order of falling intensity:
| 2θ/deg | d [Å] | I (rel.) | index |
| --- | --- | --- | --- |
| 11.89 | 7.443 | 100 | 2 0 0 |
| 24.43 | 3.644 | 95 | 1 1 1 |
| 31.98 | 2.799 | 87 | 3 1 1 |
| 27.56 | 3.236 | 56 | 4 0 -2 |
| 41.04 | 2.199 | 49 | 3 1 -3 |
| 36.20 | 2.481 | 41 | 0 2 0 |
| 32.89 | 2.723 | 35 | 5 1 -1 |
| 43.09 | 2.099 | 28 | 7 1 -1 |

Cell and atoms:
a = 16.2986 Å, b = 4.9623 Å, c = 7.3690 Å
α = 90.00°, β = 114.02°, γ = 90.00°
Space group C2/m (No. 12)
Inequivalent atoms, fractional coordinates:
K 0.0000 0.0000 0.0000 x2
Sn 0.2290 0.5000 0.7237 x4
Br 0.1394 0.0000 0.5020 x4
Br 0.1419 0.5000 0.0002 x4

=====

> What is the formula in the second record?

KSiBr4